# KNp2VO8
Simulated PXRD pattern, a wavelength of 1.5418 Å. Input: a cell relaxed with PBE+U.

Atomic structure:
abc: 4.976 4.986 7.075
angles: 88.06 88.04 85.82
Sites, in units of the cell vectors:
K 0.000 0.000 0.000
Np 0.489 0.489 0.260
Np 0.511 0.511 0.740
V 0.000 0.000 0.500
O 0.207 0.789 0.703
O 0.213 0.795 0.297
O 0.308 0.310 0.488
O 0.337 0.341 0.961
O 0.663 0.659 0.039
O 0.692 0.690 0.512
O 0.787 0.205 0.703
O 0.793 0.211 0.297

Main lines, low angle first (10° ≤ 2θ ≤ 90°):
- (1 0 0), 2θ 17.86, I 1000
- (1 1 0), 2θ 24.42, I 575
- (1 -1 0), 2θ 26.28, I 453
- (1 0 2), 2θ 30.58, I 543
- (1 0 -2), 2θ 31.54, I 420
- (0 2 0), 2θ 36.19, I 372